No. 1
Structure and theoretical powder X-ray diffraction pattern of Mg14AlCd (a structure optimized by DFT (GGA-PBE); CuKα).

Peak list (10 most intense, 10 to 90 degrees two-theta, low angle first)
- 18.30°, I = 23, hkl 1 1 1
- 32.67°, I = 26, hkl 0 2 2
- 33.00°, I = 16, hkl 0 0 4
- 34.56°, I = 40, hkl 4 0 0
- 37.09°, I = 100, hkl 2 2 2
- 37.38°, I = 49, hkl 2 0 4
- 48.30°, I = 17, hkl 4 2 2
- 58.71°, I = 16, hkl 0 2 6
- 63.60°, I = 21, hkl 6 2 2
- 69.95°, I = 19, hkl 4 2 6

Cell and atoms:
Cell lengths 10.380, 6.349, 10.862 Å; angles 90.00, 90.00, 90.00 degrees
Space group Amm2 (No. 38)
Unique sites:
Mg1 0.000 0.000 0.000 [2 per cell]
Mg2 0.000 0.000 0.500 [2 per cell]
Mg3 0.000 0.250 0.251 [4 per cell]
Mg4 0.249 0.000 0.167 [4 per cell]
Mg5 0.251 0.000 0.665 [4 per cell]
Mg6 0.253 0.248 0.418 [8 per cell]
Mg7 0.500 0.250 0.250 [4 per cell]
Al1 0.500 0.000 0.501 [2 per cell]
Cd1 0.500 0.000 0.001 [2 per cell]

=====

No. 2
Structure and theoretical powder X-ray diffraction pattern of KScBP2HO9 (a structure optimized by DFT (GGA-PBE); CuKα).

Peak list (10 most intense, 10 to 90 degrees two-theta, low angle first)
- 14.82°, I = 63, hkl 0 1 1
- 21.31°, I = 100, hkl 0 0 2
- 26.49°, I = 84, hkl 1 2 0
- 27.28°, I = 78, hkl 1 2 1
- 27.61°, I = 45, hkl 1 -1 2
- 27.94°, I = 89, hkl 1 -2 0
- 29.88°, I = 55, hkl 1 2 -1
- 30.56°, I = 40, hkl 0 2 -2
- 30.87°, I = 56, hkl -1 2 1
- 33.77°, I = 67, hkl 0 1 3

Cell and atoms:
Cell lengths 5.340, 8.399, 8.473 Å; angles 88.22, 79.94, 86.66 degrees
Space group P-1 (No. 2)
Unique sites:
K1 0.220 0.323 0.120 [2 per cell]
Sc1 0.224 0.803 0.196 [2 per cell]
B1 0.388 0.729 0.559 [2 per cell]
P1 0.287 0.940 0.806 [2 per cell]
P2 0.306 0.424 0.699 [2 per cell]
H1 0.081 0.868 0.516 [2 per cell]
O1 0.034 0.997 0.753 [2 per cell]
O2 0.060 0.363 0.796 [2 per cell]
O3 0.218 0.803 0.453 [2 per cell]
O4 0.232 0.820 0.950 [2 per cell]
O5 0.242 0.604 0.660 [2 per cell]
O6 0.375 0.335 0.536 [2 per cell]
O7 0.441 0.077 0.844 [2 per cell]
O8 0.462 0.846 0.665 [2 per cell]
O9 0.472 0.593 0.207 [2 per cell]

=====

No. 3
Structure and theoretical powder X-ray diffraction pattern of SrPrO3 (a structure optimized by DFT (GGA-PBE); CuKα).

Peak list (10 most intense, 10 to 90 degrees two-theta, low angle first)
- 19.98°, I = 16, hkl 1 0 1
- 27.91°, I = 22, hkl 2 0 0
- 28.41°, I = 100, hkl 1 2 1
- 28.90°, I = 21, hkl 0 0 2
- 40.61°, I = 35, hkl 0 4 0
- 49.68°, I = 17, hkl 3 2 1
- 49.99°, I = 12, hkl 2 4 0
- 50.90°, I = 24, hkl 1 2 3
- 58.77°, I = 13, hkl 2 4 2
- 66.54°, I = 16, hkl 1 6 1

Cell and atoms:
Cell lengths 6.394, 8.887, 6.180 Å; angles 90.00, 90.00, 90.00 degrees
Space group Pnma (No. 62)
Unique sites:
Sr1 0.053 0.250 0.023 [4 per cell]
Pr1 0.000 0.000 0.500 [4 per cell]
O1 0.064 0.750 0.369 [4 per cell]
O2 0.204 0.572 0.797 [8 per cell]

=====

No. 4
Structure and theoretical powder X-ray diffraction pattern of Ta4AgS8 (a structure optimized by DFT (GGA-PBE); CuKα).

Peak list (10 most intense, 10 to 90 degrees two-theta, low angle first)
- 13.01°, I = 100, hkl 0 0 2
- 19.57°, I = 13, hkl 0 0 3
- 30.79°, I = 50, hkl 1 1 0
- 32.65°, I = 24, hkl 2 0 1
- 34.50°, I = 20, hkl 1 1 2
- 35.45°, I = 22, hkl 1 1 -3
- 42.13°, I = 13, hkl 2 0 -5
- 42.43°, I = 27, hkl 1 1 4
- 43.86°, I = 21, hkl 1 1 -5
- 54.56°, I = 16, hkl 3 1 -1

Cell and atoms:
Cell lengths 5.829, 3.358, 13.765 Å; angles 90.00, 98.57, 90.00 degrees
Space group Pm (No. 6)
Unique sites:
Ta1 0.000 0.000 0.000 [1 per cell]
Ta2 0.147 0.000 0.454 [1 per cell]
Ta3 0.518 0.500 0.000 [1 per cell]
Ta4 0.674 0.500 0.454 [1 per cell]
Ag1 0.432 0.500 0.748 [1 per cell]
S1 0.293 0.500 0.346 [1 per cell]
S2 0.298 0.000 0.885 [1 per cell]
S3 0.369 0.500 0.568 [1 per cell]
S4 0.379 0.000 0.111 [1 per cell]
S5 0.784 0.000 0.338 [1 per cell]
S6 0.807 0.500 0.882 [1 per cell]
S7 0.866 0.000 0.572 [1 per cell]
S8 0.884 0.500 0.115 [1 per cell]

=====

No. 5
Structure and theoretical powder X-ray diffraction pattern of Cs2SbBr6 (a structure optimized by DFT (GGA-PBE); CuKα).

Peak list (10 most intense, 10 to 90 degrees two-theta, low angle first)
- 13.62°, I = 29, hkl 1 1 1
- 22.32°, I = 30, hkl 2 2 0
- 27.43°, I = 100, hkl 2 2 2
- 31.78°, I = 97, hkl 4 0 0
- 45.55°, I = 69, hkl 4 4 0
- 54.00°, I = 42, hkl 6 2 2
- 56.61°, I = 24, hkl 4 4 4
- 73.26°, I = 17, hkl 6 6 2
- 75.49°, I = 30, hkl 8 4 0
- 84.22°, I = 23, hkl 8 4 4

Cell and atoms:
Cell lengths 11.265, 11.265, 11.265 Å; angles 90.00, 90.00, 90.00 degrees
Space group Fm-3m (No. 225)
Unique sites:
Cs1 0.250 0.250 0.250 [8 per cell]
Sb1 0.000 0.000 0.000 [4 per cell]
Br1 0.000 0.000 0.241 [24 per cell]

=====

No. 6
Structure and theoretical powder X-ray diffraction pattern of TmPd (a structure optimized by DFT (GGA-PBE); CuKα).

Peak list (9 most intense, 10 to 90 degrees two-theta, low angle first)
- 25.71°, I = 6, hkl 1 0 0
- 36.67°, I = 100, hkl 1 1 0
- 45.33°, I = 2, hkl 1 1 1
- 52.84°, I = 18, hkl 2 0 0
- 59.66°, I = 2, hkl 2 1 0
- 66.04°, I = 36, hkl 2 1 1
- 77.98°, I = 11, hkl 2 2 0
- 83.73°, I = 1, hkl 3 0 0
- 89.41°, I = 16, hkl 3 1 0

Cell and atoms:
Cell lengths 3.465, 3.465, 3.465 Å; angles 90.00, 90.00, 90.00 degrees
Space group Pm-3m (No. 221)
Unique sites:
Tm1 0.000 0.000 0.000 [1 per cell]
Pd1 0.500 0.500 0.500 [1 per cell]

=====

No. 7
Structure and theoretical powder X-ray diffraction pattern of NdIO (a structure optimized by DFT (GGA-PBE); CuKα).

Peak list (10 most intense, 10 to 90 degrees two-theta, low angle first)
- 25.79°, I = 25, hkl 0 1 2
- 28.57°, I = 100, hkl 0 1 5
- 31.48°, I = 28, hkl 1 0 7
- 32.03°, I = 18, hkl 0 0 12
- 36.97°, I = 30, hkl 1 0 10
- 44.45°, I = 39, hkl 1 1 0
- 53.19°, I = 15, hkl 0 1 17
- 53.70°, I = 17, hkl 2 0 5
- 55.83°, I = 22, hkl 1 1 12
- 72.18°, I = 14, hkl 1 2 5

Cell and atoms:
Cell lengths 4.0764, 4.0764, 33.5311 Å; angles 90.00, 90.00, 120.00 degrees
Space group R-3m (No. 166, hexagonal axes)
Unique sites:
Nd1 0.0000 0.0000 0.2110 [6 per cell]
I1 0.0000 0.0000 0.3887 [6 per cell]
O1 0.0000 0.0000 0.1400 [6 per cell]

=====

No. 8
Structure and theoretical powder X-ray diffraction pattern of Ba2Tm2CuPtO8 (a structure optimized by DFT (GGA-PBE); CuKα).

Peak list (10 most intense, 10 to 90 degrees two-theta, low angle first)
- 18.99°, I = 23, hkl 1 1 1
- 26.85°, I = 28, hkl 2 1 2
- 30.25°, I = 22, hkl 0 1 3
- 31.01°, I = 98, hkl 1 1 3
- 31.16°, I = 100, hkl 4 1 0
- 31.42°, I = 69, hkl 0 2 0
- 32.36°, I = 26, hkl 4 1 1
- 32.86°, I = 23, hkl 3 0 3
- 46.11°, I = 30, hkl 3 2 3
- 55.73°, I = 39, hkl 4 3 0

Cell and atoms:
Cell lengths 13.294, 5.694, 10.369 Å; angles 90.00, 90.00, 90.00 degrees
Space group Pnma (No. 62)
Unique sites:
Ba1 0.077 0.250 0.093 [4 per cell]
Ba2 0.207 0.750 0.315 [4 per cell]
Tm1 0.083 0.250 0.487 [4 per cell]
Tm2 0.141 0.750 0.688 [4 per cell]
Cu1 0.039 0.250 0.766 [4 per cell]
Pt1 0.195 0.750 0.968 [4 per cell]
O1 0.009 0.004 0.634 [8 per cell]
O2 0.088 0.750 0.110 [4 per cell]
O3 0.114 0.510 0.860 [8 per cell]
O4 0.203 0.250 0.314 [4 per cell]
O5 0.214 0.009 0.557 [8 per cell]

=====

No. 9
Structure and theoretical powder X-ray diffraction pattern of CeEuCd2 (a structure optimized by DFT (GGA-PBE); CuKα).

Peak list (9 most intense, 10 to 90 degrees two-theta, low angle first)
- 22.92°, I = 2, hkl 2 0 0
- 32.64°, I = 100, hkl 2 2 0
- 40.26°, I = 1, hkl 2 2 2
- 46.83°, I = 18, hkl 4 0 0
- 52.76°, I = 1, hkl 4 2 0
- 58.25°, I = 37, hkl 4 2 2
- 68.39°, I = 11, hkl 4 4 0
- 77.86°, I = 16, hkl 6 2 0
- 87.00°, I = 4, hkl 4 4 4

Cell and atoms:
Cell lengths 7.759, 7.759, 7.759 Å; angles 90.00, 90.00, 90.00 degrees
Space group Fm-3m (No. 225)
Unique sites:
Ce1 0.000 0.000 0.000 [4 per cell]
Eu1 0.000 0.000 0.500 [4 per cell]
Cd1 0.250 0.250 0.250 [8 per cell]

=====

- Which formula does entry 7 have?
  NdIO